(1)
For LaNd2Nb2C6, a cell relaxed with PBE gives the simulated X-ray diffraction stick pattern in this record (Cu Kα (weighted mean of Kα1 and Kα2)).
Lines closer than 0.1° are merged.

Largest 10 diffraction maxima, sorted by position, 2θ = 15–90°:
(1 0 5), 30.01°, I = 100
(1 1 0), 31.05°, I = 49
(1 1 6), 39.93°, I = 9
(0 0 10), 41.37°, I = 10
(2 0 0), 44.49°, I = 23
(1 1 10), 52.61°, I = 18
(2 1 5), 54.60°, I = 37
(2 0 10), 62.36°, I = 12
(3 1 10), 88.06°, I = 8
(3 2 5), 89.65°, I = 9

Structure:
a = 4.073 Å, b = 4.073 Å, c = 21.827 Å
α = 90.00°, β = 90.00°, γ = 90.00°
Space group I4/mmm (No. 139)
Inequivalent atoms, fractional coordinates:
La 0.000 0.000 0.000 x2
Nd 0.000 0.000 0.188 x4
Nb 0.000 0.000 0.396 x4
C 0.000 0.000 0.303 x4
C 0.000 0.500 0.080 x8

---

(2)
For Sr3Pr4Pb3N2, a cell relaxed with PBE gives the simulated X-ray diffraction stick pattern in this record (Cu Kα (weighted mean of Kα1 and Kα2)).
Lines closer than 0.1° are merged.

Largest 10 diffraction maxima, sorted by position, 2θ = 15–90°:
(1 5 1), 29.93°, I = 100
(0 10 0), 33.29°, I = 16
(2 0 0), 34.92°, I = 20
(0 0 2), 35.83°, I = 18
(2 10 0), 49.02°, I = 11
(0 10 2), 49.71°, I = 11
(2 0 2), 50.89°, I = 14
(3 5 1), 59.56°, I = 15
(1 5 3), 60.77°, I = 15
(2 10 2), 62.18°, I = 11

Structure:
a = 5.139 Å, b = 26.913 Å, c = 5.013 Å
α = 90.00°, β = 90.00°, γ = 90.00°
Space group Cmmm (No. 65)
Inequivalent atoms, fractional coordinates:
Sr 0.000 0.000 0.000 x2
Sr 0.000 0.200 0.000 x4
Pr 0.000 0.098 0.500 x4
Pr 0.000 0.400 0.000 x4
Pb 0.000 0.317 0.500 x4
Pb 0.000 0.500 0.500 x2
N 0.000 0.098 0.000 x4

---

(3)
For La4Mg3Ni2, a cell relaxed with PBE gives the simulated X-ray diffraction stick pattern in this record (Cu Kα (weighted mean of Kα1 and Kα2)).
Lines closer than 0.1° are merged.

Largest 10 diffraction maxima, sorted by position, 2θ = 15–90°:
(0 0 2), 22.05°, I = 43
(0 1 0), 23.13°, I = 43
(2 0 -1), 23.25°, I = 51
(2 0 1), 29.86°, I = 36
(0 1 2), 32.17°, I = 90
(2 1 -1), 33.03°, I = 100
(2 1 -2), 35.97°, I = 30
(2 1 1), 38.11°, I = 62
(1 1 -3), 39.51°, I = 37
(0 2 0), 47.28°, I = 47

Structure:
a = 7.728 Å, b = 3.845 Å, c = 8.510 Å
α = 90.00°, β = 108.67°, γ = 90.00°
Space group P2/m (No. 10)
Inequivalent atoms, fractional coordinates:
La 0.086 0.000 0.216 x2
La 0.396 0.000 0.680 x2
Mg 0.000 0.500 0.500 x1
Mg 0.299 0.500 0.001 x2
Ni 0.340 0.500 0.390 x2

---

(4)
For Ta2Se3S, a cell relaxed with PBE gives the simulated X-ray diffraction stick pattern in this record (Cu Kα (weighted mean of Kα1 and Kα2)).
Lines closer than 0.1° are merged.

Largest 10 diffraction maxima, sorted by position, 2θ = 15–90°:
(0 2 -1), 30.10°, I = 44
(2 0 0), 30.22°, I = 25
(0 2 -2), 34.62°, I = 100
(2 0 1), 35.01°, I = 49
(2 -2 2), 37.42°, I = 25
(2 0 -3), 46.47°, I = 21
(0 2 2), 47.07°, I = 42
(2 -4 1), 52.92°, I = 44
(0 0 4), 54.13°, I = 14
(0 4 0), 65.03°, I = 16

Structure:
a = 6.921 Å, b = 6.922 Å, c = 7.081 Å
α = 104.11°, β = 90.80°, γ = 119.99°
Space group P-1 (No. 2)
Inequivalent atoms, fractional coordinates:
Ta 0.244 0.000 0.000 x2
Ta 0.248 0.496 0.999 x2
Se 0.131 0.752 0.248 x2
Se 0.372 0.248 0.751 x2
Se 0.372 0.750 0.755 x2
S 0.125 0.244 0.220 x2

---

(5)
For NdCo4Sn4Ge2, a cell relaxed with PBE gives the simulated X-ray diffraction stick pattern in this record (Cu Kα (weighted mean of Kα1 and Kα2)).
Lines closer than 0.1° are merged.

Largest 10 diffraction maxima, sorted by position, 2θ = 15–90°:
(1 0 3), 31.34°, I = 34
(2 1 1), 32.34°, I = 100
(2 0 2), 33.47°, I = 81
(2 2 0), 39.41°, I = 42
(2 1 3), 42.23°, I = 64
(1 1 4), 42.75°, I = 60
(3 0 1), 43.01°, I = 47
(2 2 4), 55.68°, I = 27
(4 1 3), 66.46°, I = 27
(4 2 4), 77.12°, I = 25

Structure:
a = 6.467 Å, b = 6.467 Å, c = 9.544 Å
α = 90.00°, β = 90.00°, γ = 90.00°
Space group I-42m (No. 121)
Inequivalent atoms, fractional coordinates:
Nd 0.000 0.000 0.000 x2
Co 0.177 0.177 0.570 x8
Sn 0.180 0.180 0.295 x8
Ge 0.000 0.500 0.000 x4

---

(6)
For Nd5Te2Cl3O10, a cell relaxed with PBE gives the simulated X-ray diffraction stick pattern in this record (Cu Kα (weighted mean of Kα1 and Kα2)).
Lines closer than 0.1° are merged.

Largest 10 diffraction maxima, sorted by position, 2θ = 15–90°:
(1 1 -2), 24.67°, I = 35
(3 1 1), 27.94°, I = 100
(0 2 0), 31.72°, I = 36
(1 1 -3), 31.78°, I = 74
(4 0 -2), 33.14°, I = 27
(2 2 3), 44.53°, I = 18
(4 2 -2), 46.53°, I = 32
(7 1 -1), 53.74°, I = 16
(3 3 1), 54.22°, I = 16
(1 1 6), 58.07°, I = 16

Structure:
a = 12.690 Å, b = 5.641 Å, c = 10.039 Å
α = 90.00°, β = 91.02°, γ = 90.00°
Space group C2/m (No. 12)
Inequivalent atoms, fractional coordinates:
Nd 0.000 0.000 0.000 x2
Nd 0.104 0.500 0.235 x4
Nd 0.207 0.500 0.893 x4
Te 0.081 0.000 0.666 x4
Cl 0.000 0.500 0.500 x2
Cl 0.164 0.000 0.356 x4
O 0.051 0.243 0.794 x8
O 0.147 0.253 0.060 x8
O 0.223 0.000 0.706 x4

---

(7)
For Ac2Pd7, a cell relaxed with PBE gives the simulated X-ray diffraction stick pattern in this record (Cu Kα (weighted mean of Kα1 and Kα2)).
Lines closer than 0.1° are merged.

Largest 10 diffraction maxima, sorted by position, 2θ = 15–90°:
(1 0 10), 28.64°, I = 35
(0 1 11), 30.35°, I = 33
(1 1 0), 32.57°, I = 45
(0 2 1), 37.85°, I = 35
(1 1 9), 38.18°, I = 100
(0 0 18), 39.35°, I = 21
(2 0 8), 41.80°, I = 30
(1 1 21), 57.71°, I = 13
(3 0 9), 61.86°, I = 24
(2 2 0), 68.22°, I = 26

Structure:
a = 5.4989 Å, b = 5.4989 Å, c = 41.2207 Å
α = 90.00°, β = 90.00°, γ = 120.00°
Space group R-3m (No. 166, hexagonal axes)
Inequivalent atoms, fractional coordinates:
Ac 0.0000 0.0000 0.0495 x6
Ac 0.0000 0.0000 0.1458 x6
Pd 0.0000 0.0000 0.2776 x6
Pd 0.0000 0.0000 0.3888 x6
Pd 0.0000 0.0000 0.5000 x3
Pd 0.0000 0.5000 0.0000 x9
Pd 0.0021 0.5010 0.8890 x18